Record 1
For TbZn6Ni4, a GGA-PBE-relaxed structure gives the calculated powder X-ray diffraction pattern in this record (Cu Kα).
Intensities are scaled so that the largest is 100.

Crystal structure
```
data_TbZn6Ni4
_space_group_name_H-M_alt 'I -4 2 m'
_space_group_IT_number 121
_space_group_name_Hall 'I -4 2'
_cell_length_a 6.2593
_cell_length_b 6.2593
_cell_length_c 8.9980
_cell_angle_alpha 90.00
_cell_angle_beta 90.00
_cell_angle_gamma 90.00
loop_
_atom_site_label
_atom_site_type_symbol
_atom_site_fract_x
_atom_site_fract_y
_atom_site_fract_z
_atom_site_occupancy
Tb1 Tb 0.0000 0.0000 0.0000 1
Zn1 Zn 0.0000 0.5000 0.0000 1
Zn2 Zn 0.1905 0.1905 0.2947 1
Ni1 Ni 0.1634 0.1634 0.5727 1
```

Top 12 peaks for 15° ≤ 2θ ≤ 90°, by intensity:
| two_theta | I/Imax |
| --- | --- |
| 34.92 | 100 |
| 33.53 | 86 |
| 44.26 | 69 |
| 44.58 | 65 |
| 40.77 | 52 |
| 45.22 | 48 |
| 19.73 | 31 |
| 33.12 | 31 |
| 58.51 | 30 |
| 69.38 | 24 |
| 80.89 | 20 |
| 70.46 | 19 |



Record 2
For Tb3Zn2Ni7, a GGA-PBE-relaxed structure gives the calculated powder X-ray diffraction pattern in this record (Cu Kα).
Intensities are scaled so that the largest is 100.

Crystal structure
```
data_Tb3Zn2Ni7
_space_group_name_H-M_alt 'R -3 m'
_space_group_IT_number 166
_space_group_name_Hall '-R 3 2"'
_cell_length_a 5.1180
_cell_length_b 5.1180
_cell_length_c 24.0160
_cell_angle_alpha 90.00
_cell_angle_beta 90.00
_cell_angle_gamma 120.00
loop_
_atom_site_label
_atom_site_type_symbol
_atom_site_fract_x
_atom_site_fract_y
_atom_site_fract_z
_atom_site_occupancy
Tb1 Tb 0.0000 0.0000 0.0000 1
Tb2 Tb 0.0000 0.0000 0.1394 1
Zn1 Zn 0.0000 0.0000 0.3331 1
Ni1 Ni 0.0000 0.0000 0.5000 1
Ni2 Ni 0.0002 0.5001 0.0833 1
```

Top 12 peaks for 15° ≤ 2θ ≤ 90°, by intensity:
| two_theta | I/Imax |
| --- | --- |
| 41.90 | 100 |
| 35.07 | 57 |
| 33.02 | 44 |
| 40.89 | 39 |
| 36.14 | 36 |
| 69.24 | 23 |
| 67.59 | 23 |
| 74.10 | 23 |
| 45.05 | 16 |
| 61.61 | 15 |
| 46.36 | 14 |
| 63.60 | 14 |



Record 3
For Tc6Ni7, a GGA-PBE-relaxed structure gives the calculated powder X-ray diffraction pattern in this record (Cu Kα).
Intensities are scaled so that the largest is 100.

Crystal structure
```
data_Tc6Ni7
_space_group_name_H-M_alt 'R -3 m'
_space_group_IT_number 166
_space_group_name_Hall '-R 3 2"'
_cell_length_a 4.6867
_cell_length_b 4.6867
_cell_length_c 25.4699
_cell_angle_alpha 90.00
_cell_angle_beta 90.00
_cell_angle_gamma 120.00
loop_
_atom_site_label
_atom_site_type_symbol
_atom_site_fract_x
_atom_site_fract_y
_atom_site_fract_z
_atom_site_occupancy
Tc1 Tc 0.0000 0.0000 0.0469 1
Tc2 Tc 0.0000 0.0000 0.1506 1
Tc3 Tc 0.0000 0.0000 0.3334 1
Ni1 Ni 0.0000 0.0000 0.5000 1
Ni2 Ni 0.0031 0.5016 0.9103 1
```

Top 12 peaks for 15° ≤ 2θ ≤ 90°, by intensity:
| two_theta | I/Imax |
| --- | --- |
| 44.14 | 100 |
| 38.41 | 81 |
| 45.08 | 64 |
| 41.87 | 64 |
| 44.80 | 40 |
| 48.27 | 37 |
| 82.29 | 31 |
| 74.14 | 28 |
| 71.84 | 24 |
| 46.99 | 21 |
| 73.46 | 21 |
| 42.60 | 17 |



Record 4
For TcNi5, a GGA-PBE-relaxed structure gives the calculated powder X-ray diffraction pattern in this record (Cu Kα).
Intensities are scaled so that the largest is 100.

Crystal structure
```
data_TcNi5
_space_group_name_H-M_alt 'C m m m'
_space_group_IT_number 65
_space_group_name_Hall '-C 2 2'
_cell_length_a 3.5865
_cell_length_b 10.7194
_cell_length_c 3.5732
_cell_angle_alpha 90.00
_cell_angle_beta 90.00
_cell_angle_gamma 90.00
loop_
_atom_site_label
_atom_site_type_symbol
_atom_site_fract_x
_atom_site_fract_y
_atom_site_fract_z
_atom_site_occupancy
Tc1 Tc 0.0000 0.0000 0.0000 1
Ni1 Ni 0.0000 0.1673 0.5000 1
Ni2 Ni 0.0000 0.3360 0.0000 1
Ni3 Ni 0.0000 0.5000 0.5000 1
```

Top 12 peaks for 15° ≤ 2θ ≤ 90°, by intensity:
| two_theta | I/Imax |
| --- | --- |
| 43.83 | 100 |
| 51.13 | 31 |
| 75.05 | 18 |
| 50.92 | 16 |
| 75.21 | 9 |
| 16.54 | 3 |
| 30.06 | 1 |
| 26.20 | 1 |
| 36.47 | 1 |
| 24.92 | 1 |
| 35.46 | 1 |
| 56.23 | 1 |



Record 5
For Tc3Ni, a GGA-PBE-relaxed structure gives the calculated powder X-ray diffraction pattern in this record (Cu Kα).
Intensities are scaled so that the largest is 100.

Crystal structure
```
data_Tc3Ni
_space_group_name_H-M_alt 'P 63/m m c'
_space_group_IT_number 194
_space_group_name_Hall '-P 6c 2c'
_cell_length_a 5.3781
_cell_length_b 5.3781
_cell_length_c 8.6908
_cell_angle_alpha 90.00
_cell_angle_beta 90.00
_cell_angle_gamma 120.00
loop_
_atom_site_label
_atom_site_type_symbol
_atom_site_fract_x
_atom_site_fract_y
_atom_site_fract_z
_atom_site_occupancy
Tc1 Tc 0.0000 0.5000 0.0000 1
Tc2 Tc 0.1665 0.3330 0.2500 1
Ni1 Ni 0.0000 0.0000 0.0000 1
Ni2 Ni 0.3333 0.6667 0.7500 1
```

Top 12 peaks for 15° ≤ 2θ ≤ 90°, by intensity:
| two_theta | I/Imax |
| --- | --- |
| 44.12 | 100 |
| 40.08 | 44 |
| 41.56 | 35 |
| 84.80 | 25 |
| 50.27 | 23 |
| 69.97 | 21 |
| 77.63 | 18 |
| 86.54 | 14 |
| 67.21 | 9 |
| 38.66 | 8 |
| 83.82 | 5 |
| 58.06 | 5 |



Record 6
For Tc3Ni, a GGA-PBE-relaxed structure gives the calculated powder X-ray diffraction pattern in this record (Cu Kα).
Intensities are scaled so that the largest is 100.

Crystal structure
```
data_Tc3Ni
_space_group_name_H-M_alt 'P 1 2/m 1'
_space_group_IT_number 10
_cell_length_a 2.6898
_cell_length_b 3.8355
_cell_length_c 5.3269
_cell_angle_alpha 90.00
_cell_angle_beta 90.10
_cell_angle_gamma 90.00
loop_
_space_group_symop_operation_xyz
'x,y,z'
'-x,-y,-z'
'-x,y,-z'
'x,-y,z'
loop_
_atom_site_label
_atom_site_type_symbol
_atom_site_fract_x
_atom_site_fract_y
_atom_site_fract_z
_atom_site_occupancy
Tc1 Tc 0.0000 0.0000 0.0000 1
Tc2 Tc 0.4990 0.5000 0.2582 1
Ni1 Ni 0.0000 0.0000 0.5000 1
```

Top 12 peaks for 15° ≤ 2θ ≤ 90°, by intensity:
| two_theta | I/Imax |
| --- | --- |
| 40.98 | 100 |
| 41.27 | 97 |
| 48.07 | 62 |
| 69.82 | 39 |
| 47.40 | 33 |
| 83.77 | 12 |
| 83.96 | 12 |
| 84.51 | 11 |
| 84.65 | 11 |
| 85.07 | 11 |
| 85.21 | 11 |
| 88.87 | 10 |



Record 7
For Tc5Ni, a GGA-PBE-relaxed structure gives the calculated powder X-ray diffraction pattern in this record (Cu Kα).
Intensities are scaled so that the largest is 100.

Crystal structure
```
data_Tc5Ni
_space_group_name_H-M_alt 'C 1 m 1'
_space_group_IT_number 8
_cell_length_a 9.8582
_cell_length_b 2.7630
_cell_length_c 6.3791
_cell_angle_alpha 90.00
_cell_angle_beta 104.40
_cell_angle_gamma 90.00
loop_
_space_group_symop_operation_xyz
'x,y,z'
'x,-y,z'
'x+1/2,y+1/2,z'
'x+1/2,-y+1/2,z'
loop_
_atom_site_label
_atom_site_type_symbol
_atom_site_fract_x
_atom_site_fract_y
_atom_site_fract_z
_atom_site_occupancy
Tc1 Tc 0.0000 0.0000 0.0000 1
Tc2 Tc 0.0523 0.0000 0.6031 1
Tc3 Tc 0.2157 0.5000 0.9466 1
Tc4 Tc 0.3267 0.0000 0.6646 1
Tc5 Tc 0.3801 0.0000 0.2780 1
Ni1 Ni 0.1610 0.5000 0.3333 1
```

Top 12 peaks for 15° ≤ 2θ ≤ 90°, by intensity:
| two_theta | I/Imax |
| --- | --- |
| 43.38 | 100 |
| 43.95 | 46 |
| 41.67 | 37 |
| 37.80 | 24 |
| 77.24 | 17 |
| 69.11 | 16 |
| 57.51 | 14 |
| 84.42 | 13 |
| 38.44 | 13 |
| 82.86 | 9 |
| 84.02 | 9 |
| 84.09 | 9 |



Record 8
For Th8Tc2Ni, a GGA-PBE-relaxed structure gives the calculated powder X-ray diffraction pattern in this record (Cu Kα).
Intensities are scaled so that the largest is 100.

Crystal structure
```
data_Th8Tc2Ni
_space_group_name_H-M_alt 'C 1 m 1'
_space_group_IT_number 8
_cell_length_a 8.0513
_cell_length_b 13.4347
_cell_length_c 6.2630
_cell_angle_alpha 90.00
_cell_angle_beta 114.32
_cell_angle_gamma 90.00
loop_
_space_group_symop_operation_xyz
'x,y,z'
'x,-y,z'
'x+1/2,y+1/2,z'
'x+1/2,-y+1/2,z'
loop_
_atom_site_label
_atom_site_type_symbol
_atom_site_fract_x
_atom_site_fract_y
_atom_site_fract_z
_atom_site_occupancy
Th1 Th 0.0000 0.0000 0.0000 1
Th2 Th 0.0700 0.3746 0.7973 1
Th3 Th 0.1049 0.1300 0.5677 1
Th4 Th 0.1874 0.5000 0.3624 1
Th5 Th 0.3558 0.2030 0.1812 1
Tc1 Tc 0.3352 0.3036 0.6918 1
Ni1 Ni 0.3349 0.0000 0.9497 1
```

Top 12 peaks for 15° ≤ 2θ ≤ 90°, by intensity:
| two_theta | I/Imax |
| --- | --- |
| 34.09 | 100 |
| 30.82 | 92 |
| 29.29 | 62 |
| 36.85 | 53 |
| 30.89 | 47 |
| 26.41 | 31 |
| 36.26 | 30 |
| 35.26 | 24 |
| 33.60 | 24 |
| 27.71 | 23 |
| 51.39 | 23 |
| 37.91 | 20 |



- What is the formula in the eighth record?
  Th8Tc2Ni



Repeat the sixth record exactly.
For Tc3Ni, a GGA-PBE-relaxed structure gives the calculated powder X-ray diffraction pattern in this record (Cu Kα).
Intensities are scaled so that the largest is 100.

Crystal structure
```
data_Tc3Ni
_space_group_name_H-M_alt 'P 1 2/m 1'
_space_group_IT_number 10
_cell_length_a 2.6898
_cell_length_b 3.8355
_cell_length_c 5.3269
_cell_angle_alpha 90.00
_cell_angle_beta 90.10
_cell_angle_gamma 90.00
loop_
_space_group_symop_operation_xyz
'x,y,z'
'-x,-y,-z'
'-x,y,-z'
'x,-y,z'
loop_
_atom_site_label
_atom_site_type_symbol
_atom_site_fract_x
_atom_site_fract_y
_atom_site_fract_z
_atom_site_occupancy
Tc1 Tc 0.0000 0.0000 0.0000 1
Tc2 Tc 0.4990 0.5000 0.2582 1
Ni1 Ni 0.0000 0.0000 0.5000 1
```

Top 12 peaks for 15° ≤ 2θ ≤ 90°, by intensity:
| two_theta | I/Imax |
| --- | --- |
| 40.98 | 100 |
| 41.27 | 97 |
| 48.07 | 62 |
| 69.82 | 39 |
| 47.40 | 33 |
| 83.77 | 12 |
| 83.96 | 12 |
| 84.51 | 11 |
| 84.65 | 11 |
| 85.07 | 11 |
| 85.21 | 11 |
| 88.87 | 10 |